1.
BaZnSn4O8: theoretical XRD peak list (Cu Ka), based on a DFT-relaxed cell (GGA-PBE, Alexandria).
Intensities are scaled so that the largest is 100.

Most intense lines, 2θ = 5–70°, sorted by position:
- hkl 1 1 0, 2θ 29.8, 3.003 Å, I = 100
- hkl 1 0 2, 2θ 31.0, 2.885 Å, I = 58
- hkl 2 0 2, 2θ 43.5, 2.080 Å, I = 27
- hkl 1 1 3, 2θ 49.8, 1.832 Å, I = 17
- hkl 3 0 0, 2θ 52.8, 1.734 Å, I = 31
- hkl 2 1 2, 2θ 53.6, 1.710 Å, I = 28
- hkl 2 2 0, 2θ 61.8, 1.501 Å, I = 25
- hkl 3 0 3, 2θ 67.5, 1.387 Å, I = 12

Cell and atoms:
a b c (Å): 6.0058 6.0058 6.9336
angles (deg): 90.00 90.00 120.00
Space group P-31m (No. 162)
Symmetry-distinct sites (fractional):
Ba 0.0000 0.0000 0.0000
Zn 0.0000 0.0000 0.5000
Sn 0.3333 0.6667 0.2916
O 0.0000 0.2916 0.3029
O 0.3333 0.6667 0.0000

2.
Ce2Cd17: theoretical XRD peak list (Cu Ka), based on a DFT-relaxed cell (GGA-PBE, Alexandria).
Intensities are scaled so that the largest is 100.

Most intense lines, 2θ = 5–70°, sorted by position:
- hkl 3 0 0, 2θ 30.6, 2.918 Å, I = 34
- hkl 2 0 3, 2θ 33.9, 2.647 Å, I = 53
- hkl 2 2 0, 2θ 35.5, 2.527 Å, I = 60
- hkl 3 0 2, 2θ 35.6, 2.519 Å, I = 100
- hkl 0 0 4, 2θ 36.0, 2.493 Å, I = 35
- hkl 2 2 2, 2θ 40.0, 2.254 Å, I = 65
- hkl 6 0 0, 2θ 63.8, 1.459 Å, I = 23
- hkl 3 0 6, 2θ 64.5, 1.444 Å, I = 22

Cell and atoms:
a b c (Å): 10.1093 10.1093 9.9708
angles (deg): 90.00 90.00 120.00
Space group P6_3/mmc (No. 194)
Symmetry-distinct sites (fractional):
Ce 0.0000 0.0000 0.2500
Ce 0.3333 0.6667 0.2500
Cd 0.0000 0.5000 0.0000
Cd 0.0369 0.3643 0.7500
Cd 0.1599 0.3198 0.0296
Cd 0.3333 0.6667 0.5967